Computed powder diffractogram of Na4In2Si2SO12 for Cu Kα, 1.54184 Å, from a crystal structure in the Materials Project, relaxed with GGA-PBE.

Peak list (10 most intense, 2θ from 5° to 70°, by intensity)
2θ (°)	I_rel	h k l
19.13	100.0	3 1 -1
30.49	82.7	5 1 -1
33.28	55.5	1 3 1
30.57	42.4	3 1 -3
27.18	38.4	4 0 0
45.91	32.8	2 2 -4
33.49	29.2	2 0 2
19.22	27.5	2 0 -2
18.99	25.1	0 2 0
13.49	22.3	1 1 -1

Structural model:
Cell lengths 16.012, 9.348, 9.236 Å; angles 90.00, 125.09, 90.00 degrees
Space group Cc (No. 9)
Inequivalent atoms, fractional coordinates:
Na 0.000 0.053 0.000
Na 0.206 0.376 0.870
Na 0.359 0.073 0.722
Na 0.433 0.268 0.103
In 0.094 0.235 0.471
In 0.291 0.249 0.271
Si 0.191 0.054 0.868
Si 0.340 0.400 0.665
S 0.041 0.400 0.069
O 0.036 0.442 0.542
O 0.039 0.375 0.226
O 0.111 0.044 0.381
O 0.112 0.162 0.704
O 0.134 0.338 0.093
O 0.237 0.333 0.639
O 0.267 0.046 0.342
O 0.273 0.150 0.045
O 0.340 0.378 0.489
O 0.349 0.425 0.194
O 0.434 0.312 0.841
O 0.454 0.169 0.406